(1)
# Li3CoSiBO7
Simulated X-ray diffraction stick pattern, Cu Kα (weighted mean of Kα1 and Kα2). Input: a DFT-relaxed cell (GGA+U, the Materials Project).

Structural model:
Lattice parameters (Å, degrees): 5.018 6.138 8.323 90.00 95.89 90.00
Fractional positions:
Li: 0.241 0.250 0.105
Li: 0.253 0.002 0.749
Li: 0.253 0.498 0.749
Li: 0.747 0.502 0.251
Li: 0.747 0.998 0.251
Li: 0.759 0.750 0.895
Co: 0.200 0.750 0.315
Co: 0.800 0.250 0.685
Si: 0.277 0.250 0.431
Si: 0.723 0.750 0.569
B: 0.286 0.750 0.040
B: 0.714 0.250 0.960
O: 0.029 0.750 0.089
O: 0.133 0.250 0.596
O: 0.181 0.052 0.302
O: 0.181 0.448 0.302
O: 0.358 0.750 0.890
O: 0.397 0.750 0.525
O: 0.473 0.750 0.178
O: 0.527 0.250 0.822
O: 0.603 0.250 0.475
O: 0.642 0.250 0.110
O: 0.819 0.552 0.698
O: 0.819 0.948 0.698
O: 0.867 0.750 0.404
O: 0.971 0.250 0.911

Top 10 peaks for 10° ≤ 2θ ≤ 80°, in order of falling intensity:
| 2θ/deg | I_rel | index |
| --- | --- | --- |
| 29.10 | 100 | 0 2 0 |
| 10.69 | 91 | 0 0 1 |
| 17.99 | 82 | 0 1 1 |
| 21.71 | 65 | 1 0 1 |
| 19.80 | 57 | 1 0 -1 |
| 26.53 | 44 | 1 0 -2 |
| 36.51 | 33 | 2 0 -1 |
| 60.32 | 28 | 0 4 0 |
| 26.17 | 27 | 1 1 1 |
| 22.96 | 26 | 1 1 0 |



(2)
# LiCoPO4
Simulated X-ray diffraction stick pattern, Cu Kα (weighted mean of Kα1 and Kα2). Input: a DFT-relaxed cell (GGA+U, the Materials Project).

Structural model:
Lattice parameters (Å, degrees): 5.175 7.899 8.758 87.64 87.22 77.88
Fractional positions:
Li: 0.134 0.469 0.155
Li: 0.180 0.936 0.267
Li: 0.820 0.064 0.733
Li: 0.866 0.531 0.845
Co: 0.236 0.692 0.591
Co: 0.310 0.180 0.943
Co: 0.690 0.820 0.057
Co: 0.764 0.308 0.409
P: 0.240 0.293 0.610
P: 0.242 0.785 0.924
P: 0.758 0.215 0.076
P: 0.760 0.707 0.390
O: 0.011 0.783 0.413
O: 0.061 0.677 0.014
O: 0.120 0.848 0.769
O: 0.148 0.475 0.682
O: 0.265 0.941 0.026
O: 0.391 0.308 0.456
O: 0.422 0.171 0.724
O: 0.469 0.319 0.092
O: 0.531 0.681 0.908
O: 0.578 0.829 0.276
O: 0.609 0.692 0.544
O: 0.735 0.059 0.974
O: 0.852 0.525 0.318
O: 0.880 0.152 0.231
O: 0.939 0.323 0.986
O: 0.989 0.217 0.587

Top 10 peaks for 10° ≤ 2θ ≤ 80°, in order of falling intensity:
| 2θ/deg | I_rel | index |
| --- | --- | --- |
| 23.04 | 100 | 0 2 0 |
| 20.65 | 76 | 1 0 -1 |
| 20.31 | 55 | 0 0 2 |
| 15.55 | 40 | 0 1 -1 |
| 15.07 | 36 | 0 1 1 |
| 19.93 | 30 | 1 0 1 |
| 28.47 | 26 | 1 2 -1 |
| 30.64 | 23 | 0 0 3 |
| 34.90 | 23 | 1 0 3 |
| 27.38 | 20 | 1 2 1 |



> Which formula does entry 1 have?

Li3CoSiBO7